No. 1
Structure and simulated powder XRD pattern of Na10B17C3 (a DFT-relaxed cell (PBE, Alexandria); Cu Kα, 1.54184 Å).
Kinematic intensities with the Lorentz-polarization factor, no thermal factor.

Most intense lines, 15 to 90 degrees two-theta, in order of falling intensity:
2θ 41.76, intensity 100, (2 1 5); 2θ 39.56, intensity 50, (2 0 10); 2θ 41.55, intensity 37, (4 0 0); 2θ 61.54, intensity 18, (0 1 15); 2θ 77.00, intensity 17, (4 1 15); 2θ 36.02, intensity 17, (0 1 5); 2θ 33.50, intensity 14, (0 0 10); 2θ 75.95, intensity 13, (6 1 5); 2θ 56.14, intensity 10, (4 1 5); 2θ 80.07, intensity 9, (2 2 10)

```
data_Na10B17C3
_chemical_formula_sum 'Na20 B34 C6'
_space_group_name_H-M_alt 'A m m 2'
_space_group_IT_number 38
_cell_length_a 8.6940
_cell_length_b 2.8184
_cell_length_c 26.7482
_cell_angle_alpha 90.00
_cell_angle_beta 90.00
_cell_angle_gamma 90.00
loop_
_space_group_symop_operation_xyz
'x,y,z'
'-x,-y,z'
'-x,y,z'
'x,-y,z'
'x,y+1/2,z+1/2'
'-x,-y+1/2,z+1/2'
'-x,y+1/2,z+1/2'
'x,-y+1/2,z+1/2'
loop_
_atom_site_label
_atom_site_fract_x
_atom_site_fract_y
_atom_site_fract_z
Na1 0.2485 0.0000 0.0000
Na2 0.2491 0.0000 0.7994
Na3 0.2503 0.0000 0.1996
Na4 0.2504 0.0000 0.6002
Na5 0.2523 0.0000 0.4001
B1 0.0000 0.0000 0.0711
B2 0.0000 0.0000 0.2697
B3 0.0000 0.0000 0.3326
B4 0.0000 0.0000 0.4648
B5 0.0000 0.0000 0.5309
B6 0.0000 0.0000 0.6614
B7 0.0000 0.0000 0.7274
B8 0.0000 0.0000 0.8754
B9 0.5000 0.0000 0.0707
B10 0.5000 0.0000 0.1341
B11 0.5000 0.0000 0.3254
B12 0.5000 0.0000 0.4682
B13 0.5000 0.0000 0.5308
B14 0.5000 0.0000 0.6724
B15 0.5000 0.0000 0.7376
B16 0.5000 0.0000 0.8651
B17 0.5000 0.0000 0.9274
C1 0.0000 0.0000 0.1307
C2 0.0000 0.0000 0.9335
C3 0.5000 0.0000 0.2670
```



No. 2
Structure and simulated powder XRD pattern of Na8B15C (a DFT-relaxed cell (PBE, Alexandria); Cu Kα, 1.54184 Å).
Kinematic intensities with the Lorentz-polarization factor, no thermal factor.

Most intense lines, 15 to 90 degrees two-theta, in order of falling intensity:
2θ 40.33, intensity 100, (2 2 1); 2θ 40.65, intensity 51, (0 2 2); 2θ 41.73, intensity 35, (0 4 0); 2θ 34.34, intensity 21, (2 0 1); 2θ 61.97, intensity 18, (2 0 3); 2θ 77.52, intensity 17, (2 4 3); 2θ 75.24, intensity 12, (2 6 1); 2θ 76.15, intensity 12, (4 2 2); 2θ 55.11, intensity 11, (2 4 1); 2θ 34.71, intensity 9, (0 0 2)

```
data_Na8B15C
_chemical_formula_sum 'Na8 B15 C1'
_space_group_name_H-M_alt 'P m m 2'
_space_group_IT_number 25
_cell_length_a 6.0519
_cell_length_b 8.6578
_cell_length_c 5.1696
_cell_angle_alpha 90.00
_cell_angle_beta 90.00
_cell_angle_gamma 90.00
loop_
_space_group_symop_operation_xyz
'x,y,z'
'-x,-y,z'
'-x,y,z'
'x,-y,z'
loop_
_atom_site_label
_atom_site_fract_x
_atom_site_fract_y
_atom_site_fract_z
Na1 0.0000 0.2494 0.0000
Na2 0.2504 0.2490 0.4988
Na3 0.5000 0.2505 0.9984
B1 0.0000 0.0000 0.3250
B2 0.0000 0.0000 0.6725
B3 0.0000 0.5000 0.6402
B4 0.2360 0.5000 0.1767
B5 0.2481 0.5000 0.8381
B6 0.2496 0.0000 0.1732
B7 0.2501 0.0000 0.8249
B8 0.5000 0.0000 0.3254
B9 0.5000 0.0000 0.6729
B10 0.5000 0.5000 0.3261
B11 0.5000 0.5000 0.6626
C1 0.0000 0.5000 0.3326
```